No. 1
The following is a calculated X-ray diffraction stick pattern of Li12Ac2Tl7. It was derived from a PBE-relaxed structure, using a wavelength of 1.5418 Å.

Cell and atoms:
Unit cell a=10.6582 b=10.6582 c=4.7374 alpha=90.00 beta=90.00 gamma=120.00
Space group P-6 (No. 174)
Asymmetric unit:
Li (0.0380, 0.5337, 0.0000) [3 per cell]
Li (0.2114, 0.7236, 0.5000) [3 per cell]
Li (0.2956, 0.1542, 0.0000) [3 per cell]
Li (0.3802, 0.0342, 0.5000) [3 per cell]
Ac (0.0000, 0.0000, 0.5000) [1 per cell]
Ac (0.6667, 0.3333, 0.0000) [1 per cell]
Tl (0.1421, 0.3027, 0.0000) [3 per cell]
Tl (0.3333, 0.6667, 0.0000) [1 per cell]
Tl (0.4024, 0.3138, 0.5000) [3 per cell]

Largest 10 diffraction maxima, in order of falling intensity, 2θ from 10° to 90°:
- 2θ 26.97, 3.306 Å, intensity 100
- 2θ 31.86, 2.809 Å, intensity 60
- 2θ 25.53, 3.489 Å, intensity 33
- 2θ 38.77, 2.322 Å, intensity 32
- 2θ 33.64, 2.665 Å, intensity 27
- 2θ 25.15, 3.541 Å, intensity 27
- 2θ 16.64, 5.329 Å, intensity 26
- 2θ 56.19, 1.637 Å, intensity 26
- 2θ 37.99, 2.369 Å, intensity 23
- 2θ 39.03, 2.308 Å, intensity 21



No. 2
The following is a calculated X-ray diffraction stick pattern of Li3Ac2Tl. It was derived from a PBE-relaxed structure, using a wavelength of 1.5418 Å.

Cell and atoms:
Unit cell a=3.8063 b=5.2413 c=17.8255 alpha=90.00 beta=90.00 gamma=90.00
Space group Imm2 (No. 44)
Asymmetric unit:
Li (0.0000, 0.0000, 0.0000) [2 per cell]
Li (0.0000, 0.0000, 0.1590) [2 per cell]
Li (0.0000, 0.5000, 0.7644) [2 per cell]
Ac (0.0000, 0.0000, 0.5967) [2 per cell]
Ac (0.0000, 0.5000, 0.3326) [2 per cell]
Tl (0.0000, 0.5000, 0.9252) [2 per cell]

Largest 10 diffraction maxima, in order of falling intensity, 2θ from 10° to 90°:
- 2θ 30.71, 2.911 Å, intensity 100
- 2θ 17.64, 5.028 Å, intensity 61
- 2θ 30.32, 2.948 Å, intensity 52
- 2θ 27.84, 3.205 Å, intensity 51
- 2θ 44.67, 2.029 Å, intensity 29
- 2θ 19.92, 4.456 Å, intensity 28
- 2θ 34.22, 2.621 Å, intensity 25
- 2θ 57.65, 1.599 Å, intensity 17
- 2θ 59.10, 1.563 Å, intensity 16
- 2θ 34.47, 2.602 Å, intensity 15



No. 3
The following is a calculated X-ray diffraction stick pattern of Li3Ac4Tl16. It was derived from a PBE-relaxed structure, using a wavelength of 1.5418 Å.

Cell and atoms:
Unit cell a=7.1813 b=7.1813 c=13.0249 alpha=90.00 beta=90.00 gamma=90.00
Space group P4/mmm (No. 123)
Asymmetric unit:
Li (0.0000, 0.0000, 0.0000) [1 per cell]
Li (0.0000, 0.5000, 0.5000) [2 per cell]
Ac (0.0000, 0.5000, 0.1876) [4 per cell]
Tl (0.0000, 0.0000, 0.2151) [2 per cell]
Tl (0.2572, 0.2572, 0.3785) [8 per cell]
Tl (0.2720, 0.2720, 0.0000) [4 per cell]
Tl (0.5000, 0.5000, 0.1926) [2 per cell]

Largest 10 diffraction maxima, in order of falling intensity, 2θ from 10° to 90°:
- 2θ 32.36, 2.767 Å, intensity 100
- 2θ 35.35, 2.539 Å, intensity 61
- 2θ 28.38, 3.144 Å, intensity 59
- 2θ 50.17, 1.818 Å, intensity 36
- 2θ 61.58, 1.506 Å, intensity 30
- 2θ 34.43, 2.605 Å, intensity 26
- 2θ 50.86, 1.795 Å, intensity 21
- 2θ 62.65, 1.483 Å, intensity 20
- 2θ 62.87, 1.478 Å, intensity 18
- 2θ 84.80, 1.143 Å, intensity 16